[1]
TbNpAg2O6: computed powder diffractogram (Cu Ka), based on a crystal structure in Alexandria, relaxed with PBE.
No peak broadening, texture or thermal motion is included.

Structure:
Lattice parameters (Å, degrees): 5.7863 5.9248 10.1441 90.00 124.51 90.00
Space group P2_1/c (No. 14)
One atom of each set of equivalent atoms:
Tb (0.0000, 0.0000, 0.0000)
Np (0.5000, 0.0000, 0.5000)
Ag (0.2554, 0.0252, 0.7529)
O (0.1685, 0.0355, 0.2644)
O (0.2624, 0.6828, 0.0514)
O (0.3741, 0.2110, 0.0504)

Most intense lines, 2θ = 10–90°, low angle first:
- 21.47 deg, d 4.140, I = 23.7, (1 1 -1)
- 30.17 deg, d 2.962, I = 51.1, (0 2 0)
- 30.34 deg, d 2.946, I = 100.0, (1 1 1)
- 30.44 deg, d 2.936, I = 98.9, (1 1 -3)
- 30.91 deg, d 2.893, I = 47.1, (2 0 -2)
- 43.29 deg, d 2.090, I = 24.7, (0 0 4)
- 43.73 deg, d 2.070, I = 46.1, (2 2 -2)
- 53.70 deg, d 1.707, I = 63.4, (0 2 4)
- 54.55 deg, d 1.682, I = 21.9, (3 1 -1)
- 54.75 deg, d 1.677, I = 23.0, (3 1 -5)

[2]
La2AsSN: computed powder diffractogram (Cu Ka), based on a crystal structure in Alexandria, relaxed with PBE.
No peak broadening, texture or thermal motion is included.

Structure:
Lattice parameters (Å, degrees): 5.6056 5.6056 3.9191 90.00 90.00 90.00
Space group P4/mmm (No. 123)
One atom of each set of equivalent atoms:
La (0.0000, 0.5000, 0.0000)
As (0.0000, 0.0000, 0.0000)
S (0.5000, 0.5000, 0.5000)
N (0.0000, 0.0000, 0.5000)

Most intense lines, 2θ = 10–90°, low angle first:
- 22.43 deg, d 3.964, I = 32.2, (1 1 0)
- 22.69 deg, d 3.919, I = 67.8, (0 0 1)
- 31.93 deg, d 2.803, I = 100.0, (2 0 0)
- 32.12 deg, d 2.787, I = 73.3, (1 1 1)
- 39.53 deg, d 2.280, I = 65.6, (2 0 1)
- 45.78 deg, d 1.982, I = 35.9, (2 2 0)
- 51.68 deg, d 1.769, I = 30.7, (2 2 1)
- 57.02 deg, d 1.615, I = 27.1, (3 1 1)
- 57.38 deg, d 1.606, I = 36.1, (2 0 2)
- 67.18 deg, d 1.393, I = 22.2, (2 2 2)

[3]
Rb3AuI6: computed powder diffractogram (Cu Ka), based on a crystal structure in Alexandria, relaxed with PBE.
No peak broadening, texture or thermal motion is included.

Structure:
Lattice parameters (Å, degrees): 15.6020 22.5737 5.3925 90.00 90.00 90.00
Space group Cmcm (No. 63)
One atom of each set of equivalent atoms:
Rb (0.0000, 0.0899, 0.2500)
Rb (0.1768, 0.4024, 0.7500)
Au (0.0000, 0.2902, 0.2500)
I (0.0000, 0.2502, 0.7500)
I (0.0000, 0.4257, 0.2500)
I (0.1611, 0.0728, 0.7500)
I (0.1709, 0.2829, 0.2500)

Most intense lines, 2θ = 10–90°, low angle first:
- 13.06 deg, d 6.778, I = 19.0, (1 3 0)
- 23.65 deg, d 3.762, I = 33.2, (0 6 0)
- 26.60 deg, d 3.352, I = 100.0, (3 3 1)
- 28.93 deg, d 3.086, I = 30.2, (0 6 1)
- 33.23 deg, d 2.696, I = 31.4, (0 0 2)
- 34.49 deg, d 2.600, I = 27.4, (6 0 0)
- 41.19 deg, d 2.192, I = 15.0, (0 6 2)
- 43.43 deg, d 2.084, I = 19.6, (3 9 1)
- 45.62 deg, d 1.988, I = 16.0, (6 6 1)
- 48.65 deg, d 1.872, I = 20.5, (6 0 2)

[4]
Pr7MnBr12: computed powder diffractogram (Cu Ka), based on a crystal structure in Alexandria, relaxed with PBE.
No peak broadening, texture or thermal motion is included.

Structure:
Lattice parameters (Å, degrees): 15.4041 15.4041 10.8824 90.00 90.00 120.00
Space group R-3 (No. 148, hexagonal axes)
One atom of each set of equivalent atoms:
Pr (0.0000, 0.0000, 0.0000)
Pr (0.0412, 0.1634, 0.3585)
Mn (0.0000, 0.0000, 0.5000)
Br (0.0243, 0.5854, 0.1584)
Br (0.0439, 0.1686, 0.8354)

Most intense lines, 2θ = 10–90°, low angle first:
- 10.49 deg, d 8.433, I = 16.6, (1 0 1)
- 11.49 deg, d 7.702, I = 39.2, (1 1 0)
- 29.19 deg, d 3.060, I = 100.0, (3 1 2)
- 33.60 deg, d 2.667, I = 13.7, (2 3 2)
- 41.19 deg, d 2.192, I = 35.9, (4 -3 4)
- 42.31 deg, d 2.136, I = 34.9, (2 5 0)
- 52.23 deg, d 1.752, I = 17.1, (8 -6 2)
- 60.52 deg, d 1.530, I = 11.0, (6 2 4)
- 67.78 deg, d 1.383, I = 11.5, (7 -2 6)
- 69.39 deg, d 1.354, I = 14.7, (10 -1 2)

[5]
Sm5Dy2Er12: computed powder diffractogram (Cu Ka), based on a crystal structure in Alexandria, relaxed with PBE.
No peak broadening, texture or thermal motion is included.

Structure:
Lattice parameters (Å, degrees): 6.2452 9.0104 10.8379 87.25 82.34 88.09
Space group P-1 (No. 2)
One atom of each set of equivalent atoms:
Sm (0.0000, 0.0000, 0.0000)
Sm (0.1225, 0.9878, 0.3441)
Sm (0.2743, 0.5516, 0.9429)
Dy (0.4555, 0.4946, 0.3452)
Er (0.0145, 0.3412, 0.7690)
Er (0.0741, 0.6648, 0.5484)
Er (0.1799, 0.2957, 0.1595)
Er (0.3549, 0.8566, 0.7506)
Er (0.3997, 0.1739, 0.5564)
Er (0.4963, 0.8241, 0.1121)

Most intense lines, 2θ = 10–90°, low angle first:
- 29.36 deg, d 3.042, I = 55.3, (1 -2 2)
- 31.26 deg, d 2.862, I = 66.0, (0 2 3)
- 32.32 deg, d 2.770, I = 54.8, (1 1 -3)
- 32.52 deg, d 2.753, I = 51.3, (2 1 2)
- 32.84 deg, d 2.727, I = 100.0, (1 3 0)
- 33.56 deg, d 2.670, I = 15.4, (1 -3 0)
- 34.47 deg, d 2.602, I = 13.0, (1 -3 1)
- 42.73 deg, d 2.116, I = 14.4, (1 0 5)
- 50.05 deg, d 1.822, I = 18.5, (3 2 -1)
- 56.21 deg, d 1.637, I = 15.7, (2 3 5)

[6]
Pm3AlAg4: computed powder diffractogram (Cu Ka), based on a crystal structure in Alexandria, relaxed with PBE.
No peak broadening, texture or thermal motion is included.

Structure:
Lattice parameters (Å, degrees): 3.5222 9.2460 12.4782 90.00 90.00 90.00
Space group Immm (No. 71)
One atom of each set of equivalent atoms:
Pm (0.0000, 0.0000, 0.0000)
Pm (0.0000, 0.5000, 0.2121)
Al (0.0000, 0.0000, 0.5000)
Ag (0.0000, 0.2556, 0.3830)

Most intense lines, 2θ = 10–90°, low angle first:
- 23.45 deg, d 3.793, I = 39.0, (0 1 3)
- 30.71 deg, d 2.911, I = 81.5, (1 1 2)
- 32.76 deg, d 2.734, I = 100.0, (1 2 1)
- 34.69 deg, d 2.586, I = 96.6, (0 2 4)
- 38.75 deg, d 2.324, I = 27.0, (1 2 3)
- 38.96 deg, d 2.311, I = 47.4, (0 4 0)
- 41.54 deg, d 2.174, I = 36.8, (1 3 2)
- 44.49 deg, d 2.036, I = 47.1, (1 0 5)
- 60.60 deg, d 1.528, I = 36.4, (1 4 5)
- 63.96 deg, d 1.456, I = 31.1, (2 2 4)